Record 1
The following is a computed powder X-ray diffraction pattern of La4Tb2Pm2Ho. It was derived from a cell relaxed with PBE, using Cu Kα, 1.54184 Å.
Kinematic intensities with the Lorentz-polarization factor, no thermal factor.

a b c (Å): 8.212 8.212 8.140
angles (deg): 107.68 107.68 36.93
Fractional positions:
La (0.054, 0.054, 0.329)
La (0.277, 0.277, 0.669)
La (0.723, 0.723, 0.331)
La (0.946, 0.946, 0.671)
Tb (0.167, 0.167, 0.000)
Tb (0.833, 0.833, 0.000)
Pm (0.388, 0.388, 0.329)
Pm (0.612, 0.612, 0.671)
Ho (0.500, 0.500, 0.000)

Largest 6 diffraction maxima, in order of rising 2θ, 2θ from 15° to 90°:
2θ (°)  I/Imax
29.88  100
34.51  34
34.90  17
49.90  24
58.98  22
59.52  14

Record 2
The following is a computed powder X-ray diffraction pattern of Hf3Ti5Co2. It was derived from a cell relaxed with PBE, using Cu Kα, 1.54184 Å.
Kinematic intensities with the Lorentz-polarization factor, no thermal factor.

a b c (Å): 10.586 10.586 3.118
angles (deg): 90.00 90.00 90.00
Fractional positions:
Hf (0.000, 0.000, 0.000)
Hf (0.176, 0.324, 0.000)
Hf (0.324, 0.824, 0.000)
Hf (0.500, 0.500, 0.000)
Hf (0.676, 0.176, 0.000)
Hf (0.824, 0.676, 0.000)
Ti (0.000, 0.500, 0.500)
Ti (0.065, 0.784, 0.500)
Ti (0.216, 0.065, 0.500)
Ti (0.284, 0.565, 0.500)
Ti (0.435, 0.284, 0.500)
Ti (0.500, 0.000, 0.500)
Ti (0.565, 0.716, 0.500)
Ti (0.716, 0.435, 0.500)
Ti (0.784, 0.935, 0.500)
Ti (0.935, 0.216, 0.500)
Co (0.124, 0.624, 0.000)
Co (0.376, 0.124, 0.000)
Co (0.624, 0.876, 0.000)
Co (0.876, 0.376, 0.000)

Largest 6 diffraction maxima, in order of rising 2θ, 2θ from 15° to 90°:
2θ (°)  I/Imax
26.63  53
34.44  29
34.95  54
37.54  34
38.01  26
39.50  100

Record 3
The following is a computed powder X-ray diffraction pattern of KMnCrSi2. It was derived from a cell relaxed with PBE, using Cu Kα, 1.54184 Å.
Kinematic intensities with the Lorentz-polarization factor, no thermal factor.

a b c (Å): 4.468 4.468 4.884
angles (deg): 90.00 90.00 90.00
Fractional positions:
K (0.000, 0.000, 0.000)
Mn (0.500, 0.500, 0.500)
Cr (0.500, 0.500, 0.000)
Si (0.000, 0.500, 0.500)
Si (0.500, 0.000, 0.500)

Largest 6 diffraction maxima, in order of rising 2θ, 2θ from 15° to 90°:
2θ (°)  I/Imax
19.87  74
28.25  56
33.79  72
36.81  66
40.38  100
55.77  71

Record 4
The following is a computed powder X-ray diffraction pattern of HfSc3Pt3. It was derived from a cell relaxed with PBE, using Cu Kα, 1.54184 Å.
Kinematic intensities with the Lorentz-polarization factor, no thermal factor.

a b c (Å): 6.644 6.644 6.328
angles (deg): 90.00 90.00 90.94
Fractional positions:
Hf (0.249, 0.751, 0.000)
Hf (0.751, 0.249, 0.000)
Sc (0.232, 0.232, 0.000)
Sc (0.244, 0.756, 0.500)
Sc (0.253, 0.253, 0.500)
Sc (0.747, 0.747, 0.500)
Sc (0.756, 0.244, 0.500)
Sc (0.768, 0.768, 0.000)
Pt (0.000, 0.500, 0.248)
Pt (0.000, 0.500, 0.752)
Pt (0.500, 0.000, 0.248)
Pt (0.500, 0.000, 0.752)
Pt (0.500, 0.500, 0.236)
Pt (0.500, 0.500, 0.764)

Largest 6 diffraction maxima, in order of rising 2θ, 2θ from 15° to 90°:
2θ (°)  I/Imax
18.74  21
38.00  28
38.65  26
39.33  100
55.32  18
69.54  19

Record 5
The following is a computed powder X-ray diffraction pattern of Dy4GaN. It was derived from a cell relaxed with PBE, using Cu Kα, 1.54184 Å.
Kinematic intensities with the Lorentz-polarization factor, no thermal factor.

a b c (Å): 8.694 3.544 11.717
angles (deg): 90.00 123.81 90.00
Fractional positions:
Dy (0.117, 0.000, 0.169)
Dy (0.117, 0.000, 0.669)
Dy (0.285, 0.500, 0.005)
Dy (0.285, 0.500, 0.505)
Dy (0.715, 0.500, 0.495)
Dy (0.715, 0.500, 0.995)
Dy (0.883, 0.000, 0.331)
Dy (0.883, 0.000, 0.831)
Ga (0.500, 0.001, 0.250)
Ga (0.500, 0.999, 0.750)
N (0.000, 0.500, 0.000)
N (0.000, 0.500, 0.500)

Largest 6 diffraction maxima, in order of rising 2θ, 2θ from 15° to 90°:
2θ (°)  I/Imax
30.83  42
30.94  53
31.22  100
32.93  57
38.42  34
57.26  34

Record 6
The following is a computed powder X-ray diffraction pattern of Pr4YTe7. It was derived from a cell relaxed with PBE, using Cu Kα, 1.54184 Å.
Kinematic intensities with the Lorentz-polarization factor, no thermal factor.

a b c (Å): 7.692 7.692 13.498
angles (deg): 104.03 104.03 33.03
Fractional positions:
Pr (0.000, 0.000, 0.000)
Pr (0.187, 0.187, 0.765)
Pr (0.586, 0.586, 0.382)
Pr (0.886, 0.886, 0.570)
Y (0.771, 0.771, 0.149)
Te (0.152, 0.152, 0.223)
Te (0.223, 0.223, 0.524)
Te (0.381, 0.381, 0.076)
Te (0.548, 0.548, 0.622)
Te (0.630, 0.630, 0.928)
Te (0.849, 0.849, 0.789)
Te (0.922, 0.922, 0.351)

Largest 6 diffraction maxima, in order of rising 2θ, 2θ from 15° to 90°:
2θ (°)  I/Imax
27.01  61
27.37  90
27.71  66
28.74  100
29.69  82
41.28  70

Record 7
The following is a computed powder X-ray diffraction pattern of HgPdBr. It was derived from a cell relaxed with PBE, using Cu Kα, 1.54184 Å.
Kinematic intensities with the Lorentz-polarization factor, no thermal factor.

a b c (Å): 6.790 6.790 4.852
angles (deg): 94.44 94.44 41.86
Fractional positions:
Hg (0.000, 0.000, 0.000)
Hg (0.571, 0.429, 0.500)
Pd (0.183, 0.039, 0.533)
Pd (0.961, 0.817, 0.467)
Br (0.175, 0.397, 0.773)
Br (0.603, 0.825, 0.227)

Largest 6 diffraction maxima, in order of rising 2θ, 2θ from 15° to 90°:
2θ (°)  I/Imax
27.38  77
32.71  100
34.71  65
38.76  49
43.21  48
45.85  47

Record 8
The following is a computed powder X-ray diffraction pattern of Mg2TlCuCl6. It was derived from a cell relaxed with PBE, using Cu Kα, 1.54184 Å.
Kinematic intensities with the Lorentz-polarization factor, no thermal factor.

a b c (Å): 9.830 9.830 7.117
angles (deg): 103.53 103.53 92.05
Fractional positions:
Mg (0.116, 0.258, 0.189)
Mg (0.258, 0.116, 0.689)
Mg (0.742, 0.884, 0.311)
Mg (0.884, 0.742, 0.811)
Tl (0.397, 0.603, 0.750)
Tl (0.603, 0.397, 0.250)
Cu (0.211, 0.789, 0.250)
Cu (0.789, 0.211, 0.750)
Cl (0.069, 0.185, 0.467)
Cl (0.102, 0.667, 0.961)
Cl (0.185, 0.069, 0.967)
Cl (0.294, 0.441, 0.294)
Cl (0.333, 0.898, 0.539)
Cl (0.441, 0.294, 0.794)
Cl (0.559, 0.706, 0.206)
Cl (0.667, 0.102, 0.461)
Cl (0.706, 0.559, 0.706)
Cl (0.815, 0.931, 0.033)
Cl (0.898, 0.333, 0.039)
Cl (0.931, 0.815, 0.533)

Largest 6 diffraction maxima, in order of rising 2θ, 2θ from 15° to 90°:
2θ (°)  I/Imax
20.02  100
22.75  90
25.52  60
27.97  83
29.33  47
38.13  47

Question: Which formula does entry 8 have?
Answer: Mg2TlCuCl6